Entry 1:
Ni3Sb2Te2: calculated PXRD pattern (Cu Kα, 1.54184 Å), based on a DFT-relaxed cell (PBE, Alexandria).

Structural model:
Lattice parameters (Å, degrees): 12.387 3.967 6.796 90.00 122.32 90.00
Space group Cm (No. 8)
Inequivalent atoms, fractional coordinates:
Ni: 0.000 0.000 0.000 (multiplicity 2)
Ni: 0.008 0.500 0.524 (multiplicity 2)
Ni: 0.251 0.000 0.260 (multiplicity 2)
Sb: 0.124 0.500 0.297 (multiplicity 2)
Sb: 0.129 0.000 0.799 (multiplicity 2)
Te: 0.382 0.000 0.729 (multiplicity 2)
Te: 0.383 0.500 0.226 (multiplicity 2)

The 10 most intense peaks (2θ from 10° to 80°), in order of rising 2θ:
| 2θ (°) | I (rel.) |
| --- | --- |
| 31.10 | 100 |
| 31.33 | 43 |
| 31.63 | 39 |
| 43.33 | 42 |
| 43.70 | 23 |
| 44.02 | 13 |
| 45.75 | 27 |
| 46.15 | 52 |
| 56.69 | 20 |
| 59.68 | 13 |

---

Entry 2:
AgRhF5: calculated PXRD pattern (Cu Kα, 1.54184 Å), based on a DFT-relaxed cell (PBE, Alexandria).

Structural model:
Lattice parameters (Å, degrees): 8.835 6.853 7.644 90.00 112.14 90.00
Space group C2/c (No. 15)
Inequivalent atoms, fractional coordinates:
Ag: 0.000 0.024 0.250 (multiplicity 4)
Rh: 0.000 0.500 0.000 (multiplicity 4)
F: 0.000 0.407 0.250 (multiplicity 4)
F: 0.059 0.228 0.982 (multiplicity 8)
F: 0.227 0.423 0.623 (multiplicity 8)

The 10 most intense peaks (2θ from 10° to 80°), in order of rising 2θ:
| 2θ (°) | I (rel.) |
| --- | --- |
| 21.72 | 83 |
| 26.00 | 42 |
| 26.74 | 100 |
| 33.78 | 26 |
| 34.13 | 29 |
| 35.62 | 24 |
| 44.27 | 18 |
| 46.32 | 21 |
| 51.09 | 30 |
| 52.06 | 16 |

---

Entry 3:
Tb3Ho2Er9: calculated PXRD pattern (Cu Kα, 1.54184 Å), based on a DFT-relaxed cell (PBE, Alexandria).

Structural model:
Lattice parameters (Å, degrees): 5.358 8.218 10.474 97.61 100.76 98.08
Space group P-1 (No. 2)
Inequivalent atoms, fractional coordinates:
Tb: 0.000 0.000 0.000 (multiplicity 1)
Tb: 0.292 0.407 0.668 (multiplicity 2)
Ho: 0.474 0.020 0.760 (multiplicity 2)
Er: 0.000 0.000 0.500 (multiplicity 1)
Er: 0.088 0.634 0.138 (multiplicity 2)
Er: 0.109 0.301 0.297 (multiplicity 2)
Er: 0.328 0.715 0.488 (multiplicity 2)
Er: 0.480 0.693 0.937 (multiplicity 2)

The 10 most intense peaks (2θ from 10° to 80°), in order of rising 2θ:
| 2θ (°) | I (rel.) |
| --- | --- |
| 29.95 | 22 |
| 30.98 | 46 |
| 31.20 | 93 |
| 31.30 | 52 |
| 31.44 | 100 |
| 33.49 | 49 |
| 33.84 | 36 |
| 34.52 | 23 |
| 35.32 | 51 |
| 53.38 | 23 |

---

Entry 4:
AcNd2Co2: calculated PXRD pattern (Cu Kα, 1.54184 Å), based on a DFT-relaxed cell (PBE, Alexandria).

Structural model:
Lattice parameters (Å, degrees): 11.957 3.906 5.837 90.00 105.26 90.00
Space group C2/m (No. 12)
Inequivalent atoms, fractional coordinates:
Ac: 0.000 0.000 0.000 (multiplicity 2)
Nd: 0.150 0.500 0.588 (multiplicity 4)
Co: 0.231 0.500 0.100 (multiplicity 4)

The 10 most intense peaks (2θ from 10° to 80°), in order of rising 2θ:
| 2θ (°) | I (rel.) |
| --- | --- |
| 24.84 | 36 |
| 27.71 | 85 |
| 30.00 | 39 |
| 30.89 | 63 |
| 31.47 | 33 |
| 31.78 | 28 |
| 32.68 | 100 |
| 41.45 | 27 |
| 41.93 | 38 |
| 59.05 | 33 |

---

Entry 5:
Ac12PmNd7: calculated PXRD pattern (Cu Kα, 1.54184 Å), based on a DFT-relaxed cell (PBE, Alexandria).

Structural model:
Lattice parameters (Å, degrees): 20.8885 20.8885 6.7033 90.00 90.00 120.00
Space group R-3 (No. 148, hexagonal axes)
Inequivalent atoms, fractional coordinates:
Ac: 0.9998 0.4121 0.0003 (multiplicity 18)
Ac: 0.1020 0.5508 0.4821 (multiplicity 18)
Pm: 0.0000 0.0000 0.5000 (multiplicity 3)
Nd: 0.0000 0.0000 0.0000 (multiplicity 3)
Nd: 0.0811 0.1628 0.3079 (multiplicity 18)

The 10 most intense peaks (2θ from 10° to 80°), in order of rising 2θ:
| 2θ (°) | I (rel.) |
| --- | --- |
| 25.24 | 35 |
| 25.59 | 44 |
| 28.03 | 100 |
| 28.40 | 62 |
| 30.58 | 57 |
| 30.87 | 47 |
| 36.55 | 34 |
| 37.29 | 25 |
| 44.26 | 38 |
| 51.66 | 25 |

---

Entry 6:
SmRhPb: calculated PXRD pattern (Cu Kα, 1.54184 Å), based on a DFT-relaxed cell (PBE, Alexandria).

Structural model:
Lattice parameters (Å, degrees): 13.844 3.801 8.004 90.00 90.00 90.00
Space group Pmma (No. 51)
Inequivalent atoms, fractional coordinates:
Sm: 0.049 0.000 0.212 (multiplicity 4)
Sm: 0.250 0.000 0.844 (multiplicity 2)
Rh: 0.098 0.500 0.932 (multiplicity 4)
Rh: 0.250 0.000 0.445 (multiplicity 2)
Pb: 0.115 0.500 0.571 (multiplicity 4)
Pb: 0.250 0.500 0.184 (multiplicity 2)

The 10 most intense peaks (2θ from 10° to 80°), in order of rising 2θ:
| 2θ (°) | I (rel.) |
| --- | --- |
| 32.50 | 100 |
| 33.14 | 27 |
| 34.25 | 48 |
| 35.05 | 57 |
| 39.01 | 39 |
| 41.89 | 29 |
| 47.86 | 24 |
| 57.33 | 14 |
| 60.16 | 20 |
| 63.42 | 47 |

---

Entry 7:
Ba5Na4Tl4: calculated PXRD pattern (Cu Kα, 1.54184 Å), based on a DFT-relaxed cell (PBE, Alexandria).

Structural model:
Lattice parameters (Å, degrees): 14.914 14.914 4.744 90.00 90.00 90.00
Space group I4/m (No. 87)
Inequivalent atoms, fractional coordinates:
Ba: 0.000 0.000 0.000 (multiplicity 2)
Ba: 0.131 0.784 0.500 (multiplicity 8)
Na: 0.077 0.398 0.500 (multiplicity 8)
Tl: 0.058 0.241 0.000 (multiplicity 8)

The 10 most intense peaks (2θ from 10° to 80°), in order of rising 2θ:
| 2θ (°) | I (rel.) |
| --- | --- |
| 16.81 | 26 |
| 23.01 | 46 |
| 25.96 | 42 |
| 26.73 | 37 |
| 28.63 | 100 |
| 30.56 | 40 |
| 31.09 | 68 |
| 35.08 | 34 |
| 37.93 | 27 |
| 53.14 | 30 |

---

Entry 8:
Ce2Pa5: calculated PXRD pattern (Cu Kα, 1.54184 Å), based on a DFT-relaxed cell (PBE, Alexandria).

Structural model:
Lattice parameters (Å, degrees): 3.941 3.941 22.386 90.00 90.00 90.00
Space group I4/mmm (No. 139)
Inequivalent atoms, fractional coordinates:
Ce: 0.000 0.000 0.214 (multiplicity 4)
Pa: 0.000 0.000 0.071 (multiplicity 4)
Pa: 0.000 0.000 0.358 (multiplicity 4)
Pa: 0.000 0.000 0.500 (multiplicity 2)

The 10 most intense peaks (2θ from 10° to 80°), in order of rising 2θ:
| 2θ (°) | I (rel.) |
| --- | --- |
| 32.12 | 68 |
| 36.17 | 100 |
| 46.06 | 26 |
| 57.65 | 7 |
| 59.92 | 48 |
| 67.18 | 9 |
| 67.54 | 17 |
| 76.42 | 12 |
| 76.76 | 12 |
| 78.75 | 11 |

---

Entry 9:
Pm7Pt3: calculated PXRD pattern (Cu Kα, 1.54184 Å), based on a DFT-relaxed cell (PBE, Alexandria).

Structural model:
Lattice parameters (Å, degrees): 10.1346 10.1346 6.4205 90.00 90.00 120.00
Space group P6_3mc (No. 186)
Inequivalent atoms, fractional coordinates:
Pm: 0.0751 0.5376 0.0000 (multiplicity 6)
Pm: 0.1265 0.2530 0.3003 (multiplicity 6)
Pm: 0.3333 0.6667 0.5107 (multiplicity 2)
Pt: 0.1893 0.3787 0.7464 (multiplicity 6)

The 10 most intense peaks (2θ from 10° to 80°), in order of rising 2θ:
| 2θ (°) | I (rel.) |
| --- | --- |
| 17.11 | 30 |
| 29.63 | 48 |
| 30.33 | 100 |
| 30.56 | 30 |
| 33.66 | 91 |
| 34.62 | 83 |
| 35.43 | 78 |
| 39.05 | 31 |
| 47.29 | 46 |
| 53.01 | 34 |

---

Entry 10:
Sm3Zn22: calculated PXRD pattern (Cu Kα, 1.54184 Å), based on a DFT-relaxed cell (PBE, Alexandria).

Structural model:
Lattice parameters (Å, degrees): 8.862 8.862 21.176 90.00 90.00 90.00
Space group I4_1/amd (No. 141, origin choice 2)
Inequivalent atoms, fractional coordinates:
Sm: 0.000 0.250 0.254 (multiplicity 8)
Sm: 0.000 0.250 0.875 (multiplicity 4)
Zn: 0.000 0.000 0.000 (multiplicity 8)
Zn: 0.000 0.028 0.376 (multiplicity 16)
Zn: 0.000 0.097 0.737 (multiplicity 16)
Zn: 0.000 0.103 0.117 (multiplicity 16)
Zn: 0.231 0.008 0.189 (multiplicity 32)

The 10 most intense peaks (2θ from 10° to 80°), in order of rising 2θ:
| 2θ (°) | I (rel.) |
| --- | --- |
| 30.90 | 23 |
| 33.86 | 17 |
| 37.11 | 34 |
| 38.79 | 97 |
| 39.66 | 100 |
| 40.73 | 68 |
| 42.52 | 32 |
| 44.82 | 22 |
| 58.15 | 21 |
| 73.41 | 23 |

---

Entry 11:
Tm6BiSb3As2: calculated PXRD pattern (Cu Kα, 1.54184 Å), based on a DFT-relaxed cell (PBE, Alexandria).

Structural model:
Lattice parameters (Å, degrees): 18.566 4.247 8.554 90.00 103.19 90.00
Space group C2/m (No. 12)
Inequivalent atoms, fractional coordinates:
Tm: 0.008 0.000 0.259 (multiplicity 4)
Tm: 0.172 0.500 0.099 (multiplicity 4)
Tm: 0.172 0.500 0.574 (multiplicity 4)
Bi: 0.000 0.500 0.000 (multiplicity 2)
Sb: 0.000 0.500 0.500 (multiplicity 2)
Sb: 0.163 0.000 0.832 (multiplicity 4)
As: 0.169 0.000 0.336 (multiplicity 4)

The 10 most intense peaks (2θ from 10° to 80°), in order of rising 2θ:
| 2θ (°) | I (rel.) |
| --- | --- |
| 29.65 | 100 |
| 42.26 | 12 |
| 42.42 | 49 |
| 42.57 | 13 |
| 52.41 | 7 |
| 52.74 | 13 |
| 61.55 | 12 |
| 69.74 | 10 |
| 69.84 | 11 |
| 77.76 | 8 |